Entry 1:
Diffraction record for Tl4Hg4Sb. The powder diffraction line list is calculated, not measured: it uses a crystal structure in Alexandria, relaxed with PBE and a wavelength of 1.5418 Å.
No peak broadening, texture or thermal motion is included.

Cell and atoms:
```
Tl4Hg4Sb
1.0
-6.3262 6.3262 1.6913
6.3262 -6.3262 1.6913
6.3262 6.3262 -1.6913
Tl Hg Sb
4 4 1
direct
0.1433 0.1764 0.3197
0.1764 0.8567 0.0330
0.8236 0.1433 0.9670
0.8567 0.8236 0.6803
0.1554 0.4618 0.6172
0.4618 0.8446 0.3064
0.5382 0.1554 0.6936
0.8446 0.5382 0.3828
0.5000 0.5000 0.0000
```

The 6 most intense peaks (2θ = 10–90°), low angle first:
- 29.96 deg, 2.982 Å, I 56.8
- 31.63 deg, 2.829 Å, I 21.7
- 33.97 deg, 2.639 Å, I 100.0
- 53.72 deg, 1.706 Å, I 16.9
- 55.81 deg, 1.647 Å, I 21.5
- 63.21 deg, 1.471 Å, I 21.1

=====

Entry 2:
Diffraction record for La5Sb2H. The powder diffraction line list is calculated, not measured: it uses a crystal structure in Alexandria, relaxed with PBE and a wavelength of 1.5418 Å.
No peak broadening, texture or thermal motion is included.

Cell and atoms:
```
La5Sb2H
1.0
7.2769 0.0000 0.0000
0.0000 7.2769 0.0000
0.0000 0.0000 9.0693
La Sb H
10 4 2
direct
0.0000 0.0000 0.0000
0.2489 0.2489 0.7561
0.2489 0.7511 0.7561
0.2511 0.2511 0.2561
0.2511 0.7489 0.2561
0.5000 0.5000 0.5000
0.7489 0.2511 0.2561
0.7489 0.7489 0.2561
0.7511 0.2489 0.7561
0.7511 0.7511 0.7561
0.0000 0.5000 0.0061
0.0000 0.5000 0.5061
0.5000 0.0000 0.0061
0.5000 0.0000 0.5061
0.0000 0.0000 0.7327
0.5000 0.5000 0.2327
```

The 6 most intense peaks (2θ = 10–90°), low angle first:
- 31.53 deg, 2.838 Å, I 100.0
- 34.87 deg, 2.573 Å, I 38.4
- 39.76 deg, 2.267 Å, I 13.3
- 50.14 deg, 1.819 Å, I 13.6
- 53.90 deg, 1.701 Å, I 21.8
- 60.44 deg, 1.532 Å, I 30.7

=====

Entry 3:
Diffraction record for La2ZnFeAu. The powder diffraction line list is calculated, not measured: it uses a crystal structure in Alexandria, relaxed with PBE and a wavelength of 1.5418 Å.
No peak broadening, texture or thermal motion is included.

Cell and atoms:
```
La2ZnFeAu
1.0
5.1114 0.0000 0.0000
0.0000 5.1114 0.0000
0.0000 0.0000 4.7079
La Zn Fe Au
2 1 1 1
direct
0.0000 0.5000 0.0000
0.5000 0.0000 0.0000
0.0000 0.0000 0.5000
0.0000 0.0000 0.0000
0.5000 0.5000 0.5000
```

The 6 most intense peaks (2θ = 10–90°), low angle first:
- 25.73 deg, 3.463 Å, I 23.9
- 31.20 deg, 2.867 Å, I 100.0
- 35.11 deg, 2.556 Å, I 56.7
- 38.23 deg, 2.354 Å, I 22.5
- 52.88 deg, 1.731 Å, I 34.9
- 60.57 deg, 1.529 Å, I 30.5

=====

Entry 4:
Diffraction record for ErTm2Th6. The powder diffraction line list is calculated, not measured: it uses a crystal structure in Alexandria, relaxed with PBE and a wavelength of 1.5418 Å.
No peak broadening, texture or thermal motion is included.

Cell and atoms:
```
ErTm2Th6
1.0
6.5185 -5.8408 0.0000
6.5185 5.8408 0.0000
-5.3349 0.0000 7.4999
Er Tm Th
2 4 12
direct
0.1277 0.8723 0.7500
0.8723 0.1277 0.2500
0.2072 0.4589 0.5833
0.4589 0.2072 0.0833
0.5411 0.7928 0.9167
0.7928 0.5411 0.4167
0.0172 0.7714 0.3100
0.1038 0.3519 0.1441
0.2286 0.9828 0.1900
0.3154 0.5628 0.0227
0.3519 0.1038 0.6441
0.4372 0.6846 0.4773
0.5628 0.3154 0.5227
0.6481 0.8962 0.3559
0.6846 0.4372 0.9773
0.7714 0.0172 0.8100
0.8962 0.6481 0.8559
0.9828 0.2286 0.6900
```

The 6 most intense peaks (2θ = 10–90°), low angle first:
- 30.48 deg, 2.933 Å, I 100.0
- 30.61 deg, 2.920 Å, I 49.5
- 32.36 deg, 2.766 Å, I 85.3
- 37.62 deg, 2.391 Å, I 57.5
- 49.25 deg, 1.850 Å, I 27.0
- 51.62 deg, 1.771 Å, I 23.8

=====

Question: What is the formula in the first record?
Answer: Tl4Hg4Sb